Simulated XRD peak list
Compound: Be3Rh
Radiation: Cu Kα (λ = 1.5418 Å)
Structure: a crystal structure in Alexandria, relaxed with PBE
Neutral-atom scattering factors, no anomalous dispersion.

Cell and atoms:
```
Be3Rh
1.0
3.373 0.000 0.000
0.000 3.373 0.000
0.000 0.000 3.373
Be Rh
3 1
Direct
0.000 0.000 0.500 Be
0.000 0.500 0.000 Be
0.500 0.000 0.000 Be
0.500 0.500 0.500 Rh
```

Largest 6 diffraction maxima, most intense first, 2θ from 5° to 70°:
2θ/deg	intensity
26.4	100
37.7	78
46.6	43
61.5	36
68.1	27
54.4	20

Simulated XRD peak list
Compound: PaPdS4
Radiation: Cu Kα (λ = 1.5418 Å)
Structure: a crystal structure in Alexandria, relaxed with PBE
Neutral-atom scattering factors, no anomalous dispersion.

Cell and atoms:
```
PaPdS4
1.0
6.425 0.000 0.000
0.000 6.315 0.000
-1.024 0.000 6.220
Pa Pd S
2 2 8
Direct
0.000 0.000 0.000 Pa
0.000 0.500 0.500 Pa
0.500 0.000 0.500 Pd
0.500 0.500 0.000 Pd
0.192 0.178 0.365 S
0.192 0.322 0.865 S
0.302 0.724 0.265 S
0.302 0.776 0.765 S
0.698 0.224 0.235 S
0.698 0.276 0.735 S
0.808 0.678 0.135 S
0.808 0.822 0.635 S
```

Largest 8 diffraction maxima, most intense first, 2θ from 5° to 70°:
2θ/deg	intensity
23.1	100
25.8	67
40.3	35
40.7	32
46.1	22
45.4	18
14.0	18
28.7	17

Simulated XRD peak list
Compound: TbPm4PrTm2
Radiation: Cu Kα (λ = 1.5418 Å)
Structure: a crystal structure in Alexandria, relaxed with PBE
Neutral-atom scattering factors, no anomalous dispersion.

Cell and atoms:
```
TbPm4PrTm2
1.0
6.860 -6.652 0.000
6.860 6.652 0.000
-3.429 0.000 5.944
Tb Pm Pr Tm
2 8 2 4
Direct
0.000 0.000 0.000 Tb
0.000 0.000 0.500 Tb
0.248 0.255 0.508 Pm
0.252 0.747 0.500 Pm
0.253 0.748 0.000 Pm
0.255 0.248 0.008 Pm
0.745 0.752 0.992 Pm
0.747 0.252 0.000 Pm
0.748 0.253 0.500 Pm
0.752 0.745 0.492 Pm
0.000 0.500 0.000 Pr
0.500 0.000 0.500 Pr
0.000 0.500 0.500 Tm
0.500 0.000 0.000 Tm
0.500 0.500 0.000 Tm
0.500 0.500 0.500 Tm
```

Largest 8 diffraction maxima, most intense first, 2θ from 5° to 70°:
2θ/deg	intensity
30.1	100
40.7	88
26.8	45
60.8	27
64.2	23
53.4	20
69.3	18
62.5	12

Simulated XRD peak list
Compound: Ta4AgS8
Radiation: Cu Kα (λ = 1.5418 Å)
Structure: a crystal structure in Alexandria, relaxed with PBE
Neutral-atom scattering factors, no anomalous dispersion.

Cell and atoms:
```
Ta4AgS8
1.0
5.817 0.000 0.000
0.000 3.363 0.000
-1.929 0.000 13.855
Ta Ag S
4 1 8
Direct
0.000 0.000 0.000 Ta
0.152 0.000 0.472 Ta
0.518 0.500 0.000 Ta
0.678 0.500 0.472 Ta
0.435 0.500 0.758 Ag
0.299 0.000 0.888 S
0.300 0.500 0.365 S
0.370 0.500 0.583 S
0.377 0.000 0.108 S
0.792 0.000 0.358 S
0.812 0.500 0.885 S
0.868 0.000 0.588 S
0.881 0.500 0.113 S
```

Largest 8 diffraction maxima, most intense first, 2θ from 5° to 70°:
2θ/deg	intensity
12.8	100
30.8	44
42.0	32
34.3	25
43.5	25
32.6	24
35.3	23
54.6	21

Simulated XRD peak list
Compound: Sr7Re4O19
Radiation: Cu Kα (λ = 1.5418 Å)
Structure: a crystal structure in Alexandria, relaxed with PBE
Neutral-atom scattering factors, no anomalous dispersion.

Cell and atoms:
```
Sr7Re4O19
1.0
6.922 -2.820 0.000
6.922 2.820 0.000
-1.584 0.000 10.394
Sr Re O
7 4 19
Direct
0.000 0.000 0.000 Sr
0.085 0.085 0.665 Sr
0.290 0.290 0.914 Sr
0.359 0.359 0.543 Sr
0.641 0.641 0.457 Sr
0.710 0.710 0.086 Sr
0.915 0.915 0.335 Sr
0.169 0.169 0.281 Re
0.466 0.466 0.177 Re
0.534 0.534 0.823 Re
0.831 0.831 0.719 Re
0.017 0.495 0.348 O
0.100 0.100 0.430 O
0.130 0.621 0.126 O
0.184 0.675 0.785 O
0.196 0.196 0.114 O
0.325 0.816 0.215 O
0.379 0.870 0.874 O
0.455 0.455 0.354 O
0.495 0.017 0.348 O
0.500 0.500 0.000 O
0.505 0.983 0.652 O
0.545 0.545 0.646 O
0.621 0.130 0.126 O
0.675 0.184 0.785 O
0.804 0.804 0.886 O
0.816 0.325 0.215 O
0.870 0.379 0.874 O
0.900 0.900 0.570 O
0.983 0.505 0.652 O
```

Largest 8 diffraction maxima, most intense first, 2θ from 5° to 70°:
2θ/deg	intensity
28.7	100
31.8	80
43.3	35
54.7	22
43.6	15
19.5	14
48.8	14
17.1	13

Simulated XRD peak list
Compound: Pa3CoRh2
Radiation: Cu Kα (λ = 1.5418 Å)
Structure: a crystal structure in Alexandria, relaxed with PBE
Neutral-atom scattering factors, no anomalous dispersion.

Cell and atoms:
```
Pa3CoRh2
1.0
5.951 -3.035 0.000
5.951 3.035 0.000
-1.899 0.000 6.712
Pa Co Rh
6 2 4
Direct
0.120 0.880 0.750 Pa
0.245 0.435 0.391 Pa
0.435 0.245 0.891 Pa
0.565 0.755 0.109 Pa
0.755 0.565 0.609 Pa
0.880 0.120 0.250 Pa
0.367 0.633 0.250 Co
0.633 0.367 0.750 Co
0.051 0.269 0.029 Rh
0.269 0.051 0.529 Rh
0.731 0.949 0.471 Rh
0.949 0.731 0.971 Rh
```

Largest 8 diffraction maxima, most intense first, 2θ from 5° to 70°:
2θ/deg	intensity
34.4	100
32.4	83
35.2	73
37.7	65
27.6	39
47.6	37
29.5	35
55.3	33

Simulated XRD peak list
Compound: CeSm3Th2As6
Radiation: Cu Kα (λ = 1.5418 Å)
Structure: a crystal structure in Alexandria, relaxed with PBE
Neutral-atom scattering factors, no anomalous dispersion.

Cell and atoms:
```
CeSm3Th2As6
1.0
9.217 -2.118 0.000
9.217 2.118 0.000
-1.919 0.000 8.226
Ce Sm Th As
1 3 2 6
Direct
0.000 0.000 0.000 Ce
0.000 0.000 0.500 Sm
0.334 0.334 0.167 Sm
0.666 0.666 0.833 Sm
0.334 0.334 0.668 Th
0.666 0.666 0.332 Th
0.167 0.167 0.083 As
0.167 0.167 0.584 As
0.500 0.500 0.249 As
0.500 0.500 0.751 As
0.833 0.833 0.416 As
0.833 0.833 0.917 As
```

Largest 8 diffraction maxima, most intense first, 2θ from 5° to 70°:
2θ/deg	intensity
29.9	100
42.7	63
25.8	27
53.0	20
62.1	13
42.8	13
50.6	12
53.1	7

Simulated XRD peak list
Compound: Sr3Ir2O7
Radiation: Cu Kα (λ = 1.5418 Å)
Structure: a crystal structure in Alexandria, relaxed with PBE
Neutral-atom scattering factors, no anomalous dispersion.

Cell and atoms:
```
Sr3Ir2O7
1.0
2.778 -10.604 0.000
2.778 10.604 0.000
0.000 0.000 5.558
Sr Ir O
6 4 14
Direct
0.062 0.938 0.750 Sr
0.250 0.750 0.750 Sr
0.438 0.562 0.750 Sr
0.562 0.438 0.250 Sr
0.750 0.250 0.250 Sr
0.938 0.062 0.250 Sr
0.153 0.847 0.250 Ir
0.347 0.653 0.250 Ir
0.653 0.347 0.750 Ir
0.847 0.153 0.750 Ir
0.036 0.342 0.061 O
0.056 0.944 0.250 O
0.158 0.464 0.561 O
0.250 0.750 0.250 O
0.342 0.036 0.561 O
0.444 0.556 0.250 O
0.464 0.158 0.061 O
0.536 0.842 0.939 O
0.556 0.444 0.750 O
0.658 0.964 0.439 O
0.750 0.250 0.750 O
0.842 0.536 0.439 O
0.944 0.056 0.750 O
0.964 0.658 0.939 O
```

Largest 8 diffraction maxima, most intense first, 2θ from 5° to 70°:
2θ/deg	intensity
31.0	100
32.2	59
56.7	42
46.2	27
54.4	22
23.0	20
16.7	18
8.3	18

Simulated XRD peak list
Compound: TbPd6Au12
Radiation: Cu Kα (λ = 1.5418 Å)
Structure: a crystal structure in Alexandria, relaxed with PBE
Neutral-atom scattering factors, no anomalous dispersion.

Cell and atoms:
```
TbPd6Au12
1.0
5.676 3.277 3.119
-5.676 3.277 3.119
0.000 -6.554 3.119
Tb Pd Au
1 6 12
Direct
0.000 0.000 0.000 Tb
0.166 0.166 0.420 Pd
0.166 0.420 0.166 Pd
0.420 0.166 0.166 Pd
0.580 0.834 0.834 Pd
0.834 0.580 0.834 Pd
0.834 0.834 0.580 Pd
0.000 0.263 0.737 Au
0.000 0.737 0.263 Au
0.192 0.583 0.583 Au
0.263 0.000 0.737 Au
0.263 0.737 0.000 Au
0.417 0.417 0.808 Au
0.417 0.808 0.417 Au
0.583 0.192 0.583 Au
0.583 0.583 0.192 Au
0.737 0.000 0.263 Au
0.737 0.263 0.000 Au
0.808 0.417 0.417 Au
```

Largest 8 diffraction maxima, most intense first, 2θ from 5° to 70°:
2θ/deg	intensity
37.9	100
39.9	80
38.2	43
41.2	33
39.6	29
41.5	29
30.7	27
66.4	22

Simulated XRD peak list
Compound: Dy5YTm
Radiation: Cu Kα (λ = 1.5418 Å)
Structure: a crystal structure in Alexandria, relaxed with PBE
Neutral-atom scattering factors, no anomalous dispersion.

Cell and atoms:
```
Dy5YTm
1.0
5.761 0.000 0.000
0.000 8.607 0.000
0.000 0.000 11.951
Dy Y Tm
10 2 2
Direct
0.000 0.000 0.000 Dy
0.000 0.177 0.500 Dy
0.000 0.500 0.254 Dy
0.000 0.500 0.746 Dy
0.000 0.823 0.500 Dy
0.500 0.000 0.246 Dy
0.500 0.000 0.754 Dy
0.500 0.323 0.000 Dy
0.500 0.500 0.500 Dy
0.500 0.677 0.000 Dy
0.000 0.500 0.500 Y
0.500 0.000 0.000 Y
0.000 0.500 0.000 Tm
0.500 0.000 0.500 Tm
```

Largest 8 diffraction maxima, most intense first, 2θ from 5° to 70°:
2θ/deg	intensity
29.9	100
31.0	91
14.8	84
26.9	84
23.8	82
43.6	71
20.6	66
34.9	64

Simulated XRD peak list
Compound: Ba2ZnGa7
Radiation: Cu Kα (λ = 1.5418 Å)
Structure: a crystal structure in Alexandria, relaxed with PBE
Neutral-atom scattering factors, no anomalous dispersion.

Cell and atoms:
```
Ba2ZnGa7
1.0
4.597 0.000 0.000
0.000 4.597 0.000
0.000 0.000 10.878
Ba Zn Ga
2 1 7
Direct
0.000 0.500 0.249 Ba
0.500 0.000 0.751 Ba
0.500 0.500 0.000 Zn
0.000 0.000 0.000 Ga
0.000 0.000 0.500 Ga
0.000 0.500 0.631 Ga
0.000 0.500 0.874 Ga
0.500 0.000 0.126 Ga
0.500 0.000 0.369 Ga
0.500 0.500 0.500 Ga
```

Largest 8 diffraction maxima, most intense first, 2θ from 5° to 70°:
2θ/deg	intensity
32.1	100
31.4	68
39.2	64
51.1	34
46.2	27
66.6	23
62.1	22
56.6	21

Simulated XRD peak list
Compound: Sm3PtSe2
Radiation: Cu Kα (λ = 1.5418 Å)
Structure: a crystal structure in Alexandria, relaxed with PBE
Neutral-atom scattering factors, no anomalous dispersion.

Cell and atoms:
```
Sm3PtSe2
1.0
0.000 5.940 12.421
4.271 0.000 12.421
4.271 5.940 0.000
Sm Pt Se
12 4 8
Direct
0.037 0.541 0.199 Sm
0.113 0.637 0.637 Sm
0.199 0.723 0.037 Sm
0.277 0.801 0.459 Sm
0.363 0.887 0.887 Sm
0.459 0.963 0.277 Sm
0.541 0.037 0.723 Sm
0.637 0.113 0.113 Sm
0.723 0.199 0.541 Sm
0.801 0.277 0.963 Sm
0.887 0.363 0.363 Sm
0.963 0.459 0.801 Sm
0.041 0.041 0.209 Pt
0.209 0.209 0.041 Pt
0.791 0.791 0.959 Pt
0.959 0.959 0.791 Pt
0.127 0.127 0.623 Se
0.295 0.295 0.455 Se
0.377 0.377 0.873 Se
0.455 0.455 0.295 Se
0.545 0.545 0.705 Se
0.623 0.623 0.127 Se
0.705 0.705 0.545 Se
0.873 0.873 0.377 Se
```

Largest 8 diffraction maxima, most intense first, 2θ from 5° to 70°:
2θ/deg	intensity
30.1	100
43.1	50
52.8	13
42.3	13
54.0	13
62.5	12
43.7	12
13.3	10